# Mn3Tl2CdF12
Theoretical powder X-ray diffraction pattern, Cu Kα, 1.54184 Å. Input: DFT lattice parameters and positions (PBE+U).
Intensities are scaled so that the largest is 100.

Principal peaks in the range 10 to 90 degrees two-theta, in order of rising 2θ:
14.39 deg, d 6.154, rel. 15; 23.25 deg, d 3.826, rel. 41; 27.34 deg, d 3.262, rel. 19; 27.45 deg, d 3.249, rel. 100; 29.02 deg, d 3.077, rel. 20; 37.51 deg, d 2.398, rel. 20; 43.53 deg, d 2.079, rel. 33; 47.53 deg, d 1.913, rel. 25; 56.63 deg, d 1.625, rel. 19; 66.40 deg, d 1.408, rel. 16

Structure:
```
Mn3Tl2CdF12
1.0
3.8263 2.2091 6.1545
-3.8263 2.2091 6.1545
0.0000 -4.4182 6.1545
Mn Tl Cd F
3 2 1 12
Direct
0.0000 0.5000 0.5000 Mn
0.5000 0.0000 0.5000 Mn
0.5000 0.5000 0.0000 Mn
0.1478 0.1478 0.1478 Tl
0.8522 0.8522 0.8522 Tl
0.5000 0.5000 0.5000 Cd
0.1379 0.5945 0.5945 F
0.2015 0.2015 0.5708 F
0.2015 0.5708 0.2015 F
0.4055 0.4055 0.8621 F
0.4055 0.8621 0.4055 F
0.4292 0.7985 0.7985 F
0.5708 0.2015 0.2015 F
0.5945 0.1379 0.5945 F
0.5945 0.5945 0.1379 F
0.7985 0.4292 0.7985 F
0.7985 0.7985 0.4292 F
0.8621 0.4055 0.4055 F
```